Starting from a DFT-relaxed cell (PBE+U, Alexandria), the powder X-ray diffraction pattern of Sr3ErFe2O9 was calculated for copper Kα.

Most intense lines, 5 to 70 degrees two-theta, in order of rising 2θ:
- hkl 0 1 1, 22.06°, I 18
- hkl 0 1 2, 31.26°, I 100
- hkl 1 1 0, 31.54°, I 92
- hkl 2 0 2, 45.00°, I 66
- hkl 1 2 2, 55.99°, I 37
- hkl 2 2 0, 65.86°, I 19

Atomic structure:
Unit cell a=5.6725 b=5.6725 c=7.0418 alpha=90.00 beta=90.00 gamma=120.00
Space group P-3m1 (No. 164)
One atom of each set of equivalent atoms:
Sr 0.0000 0.0000 0.0000
Sr 0.3333 0.6667 0.6902
Er 0.0000 0.0000 0.5000
Fe 0.3333 0.6667 0.1621
O 0.0000 0.5000 0.0000
O 0.1746 0.3491 0.3140



Starting from a DFT-relaxed cell (PBE+U, Alexandria), the powder X-ray diffraction pattern of Gd2W4O15 was calculated for copper Kα.

Most intense lines, 5 to 70 degrees two-theta, in order of rising 2θ:
- hkl 1 1 1, 19.78°, I 46
- hkl 1 1 -2, 20.48°, I 54
- hkl 1 0 2, 24.13°, I 43
- hkl 0 2 2, 24.52°, I 100
- hkl 1 2 -2, 25.78°, I 57
- hkl 1 0 -4, 32.69°, I 51

Atomic structure:
Unit cell a=6.832 b=9.914 c=11.064 alpha=90.00 beta=105.52 gamma=90.00
Space group P2_1/c (No. 14)
One atom of each set of equivalent atoms:
Gd 0.204 0.025 0.276
W 0.084 0.745 0.010
W 0.394 0.097 0.846
O 0.022 0.130 0.399
O 0.118 0.163 0.098
O 0.128 0.055 0.820
O 0.218 0.652 0.917
O 0.259 0.635 0.614
O 0.384 0.222 0.347
O 0.451 0.027 0.709
O 0.500 0.000 0.000